# 1
# V2O3
Theoretical XRD peak list, Cu Kα X-rays. Input: a crystal structure in Alexandria, relaxed with GGA+U.
Intensities are scaled so that the largest is 100.

Structural model:
```
data_V2O3
_chemical_formula_sum 'V8 O12'
_symmetry_space_group_name_H-M 'P 1 21/c 1'
_symmetry_Int_Tables_number 14
_cell_length_a 3.779
_cell_length_b 12.028
_cell_length_c 5.469
_cell_angle_alpha 90.00
_cell_angle_beta 108.06
_cell_angle_gamma 90.00
loop_
_symmetry_equiv_pos_as_xyz
'x,y,z'
'-x,-y,-z'
'-x,y+1/2,-z+1/2'
'x,-y+1/2,z+1/2'
loop_
_atom_site_label
_atom_site_type_symbol
_atom_site_fract_x
_atom_site_fract_y
_atom_site_fract_z
V1 V 0.111 0.159 0.172
V2 V 0.342 0.050 0.712
O1 O 0.174 0.506 0.820
O2 O 0.181 0.194 0.542
O3 O 0.429 0.608 0.411
```

The 10 most intense peaks (2θ = 5–70°), low angle first:
hkl 0 2 0, 14.7°, rel. 46; hkl 1 1 0, 25.9°, rel. 74; hkl 1 2 0, 28.9°, rel. 34; hkl 1 2 -1, 29.5°, rel. 42; hkl 0 4 1, 34.5°, rel. 100; hkl 0 1 2, 35.3°, rel. 48; hkl 0 2 2, 37.7°, rel. 30; hkl 0 3 2, 41.4°, rel. 22; hkl 0 6 1, 48.7°, rel. 24; hkl 2 1 -1, 48.8°, rel. 48

=====

# 2
# V2O5
Theoretical XRD peak list, Cu Kα X-rays. Input: a crystal structure in Alexandria, relaxed with GGA+U.
Intensities are scaled so that the largest is 100.

Structural model:
```
data_V2O5
_chemical_formula_sum 'V4 O10'
_symmetry_space_group_name_H-M 'P -1'
_symmetry_Int_Tables_number 2
_cell_length_a 4.671
_cell_length_b 6.631
_cell_length_c 6.732
_cell_angle_alpha 75.60
_cell_angle_beta 89.53
_cell_angle_gamma 89.34
loop_
_symmetry_equiv_pos_as_xyz
'x,y,z'
'-x,-y,-z'
loop_
_atom_site_label
_atom_site_type_symbol
_atom_site_fract_x
_atom_site_fract_y
_atom_site_fract_z
V1 V 0.106 0.184 0.316
V2 V 0.110 0.283 0.789
O1 O 0.004 0.193 0.050
O2 O 0.008 0.116 0.615
O3 O 0.014 0.455 0.300
O4 O 0.450 0.181 0.314
O5 O 0.456 0.289 0.785
```

The 10 most intense peaks (2θ = 5–70°), low angle first:
hkl 1 0 0, 19.0°, rel. 100; hkl 1 1 0, 23.4°, rel. 25; hkl 1 -1 0, 23.7°, rel. 37; hkl 0 0 2, 27.4°, rel. 66; hkl 0 2 0, 27.8°, rel. 63; hkl 1 1 2, 33.4°, rel. 18; hkl 1 0 -2, 33.6°, rel. 15; hkl 0 2 2, 34.0°, rel. 15; hkl 2 0 0, 38.6°, rel. 15; hkl 0 1 4, 54.5°, rel. 12

=====

# 3
# V3O7
Theoretical XRD peak list, Cu Kα X-rays. Input: a crystal structure in Alexandria, relaxed with GGA+U.
Intensities are scaled so that the largest is 100.

Structural model:
```
data_V3O7
_chemical_formula_sum 'V12 O28'
_symmetry_space_group_name_H-M 'P n m a'
_symmetry_Int_Tables_number 62
_cell_length_a 9.440
_cell_length_b 10.825
_cell_length_c 5.416
_cell_angle_alpha 90.00
_cell_angle_beta 90.00
_cell_angle_gamma 90.00
loop_
_symmetry_equiv_pos_as_xyz
'x,y,z'
'-x,-y,-z'
'-x+1/2,-y,z+1/2'
'x+1/2,y,-z+1/2'
'x+1/2,-y+1/2,-z+1/2'
'-x+1/2,y+1/2,z+1/2'
'-x,y+1/2,-z'
'x,-y+1/2,z'
loop_
_atom_site_label
_atom_site_type_symbol
_atom_site_fract_x
_atom_site_fract_y
_atom_site_fract_z
V1 V 0.194 0.022 0.250
V2 V 0.194 0.250 0.749
O1 O 0.023 0.250 0.750
O2 O 0.025 0.036 0.250
O3 O 0.245 0.614 0.019
O4 O 0.245 0.614 0.480
```

The 10 most intense peaks (2θ = 5–70°), low angle first:
hkl 0 2 0, 16.4°, rel. 38; hkl 0 1 1, 18.3°, rel. 32; hkl 2 0 0, 18.8°, rel. 100; hkl 2 1 0, 20.5°, rel. 18; hkl 0 3 1, 29.8°, rel. 50; hkl 2 2 1, 30.1°, rel. 78; hkl 0 0 2, 33.1°, rel. 38; hkl 4 2 1, 45.1°, rel. 29; hkl 0 4 2, 47.5°, rel. 43; hkl 2 4 2, 51.5°, rel. 21

=====

# 4
# V2O5
Theoretical XRD peak list, Cu Kα X-rays. Input: a crystal structure in Alexandria, relaxed with GGA+U.
Intensities are scaled so that the largest is 100.

Structural model:
```
data_V2O5
_chemical_formula_sum 'V4 O10'
_symmetry_space_group_name_H-M 'C 1 2/m 1'
_symmetry_Int_Tables_number 12
_cell_length_a 11.525
_cell_length_b 3.626
_cell_length_c 4.661
_cell_angle_alpha 90.00
_cell_angle_beta 90.71
_cell_angle_gamma 90.00
loop_
_symmetry_equiv_pos_as_xyz
'x,y,z'
'-x,-y,-z'
'-x,y,-z'
'x,-y,z'
'x+1/2,y+1/2,z'
'-x+1/2,-y+1/2,-z'
'-x+1/2,y+1/2,-z'
'x+1/2,-y+1/2,z'
loop_
_atom_site_label
_atom_site_type_symbol
_atom_site_fract_x
_atom_site_fract_y
_atom_site_fract_z
V1 V 0.149 0.000 0.389
O1 O 0.000 0.000 0.500
O2 O 0.144 0.000 0.044
O3 O 0.182 0.500 0.493
```

The 10 most intense peaks (2θ = 5–70°), low angle first:
hkl 2 0 0, 15.4°, rel. 34; hkl 0 0 1, 19.0°, rel. 100; hkl 2 0 -1, 24.4°, rel. 49; hkl 1 1 0, 25.8°, rel. 71; hkl 4 0 0, 31.0°, rel. 31; hkl 1 1 1, 32.3°, rel. 40; hkl 3 1 0, 34.0°, rel. 27; hkl 6 0 0, 47.3°, rel. 17; hkl 0 2 0, 50.3°, rel. 22; hkl 7 1 0, 61.9°, rel. 18

=====

# 5
# V6O13
Theoretical XRD peak list, Cu Kα X-rays. Input: a crystal structure in Alexandria, relaxed with GGA+U.
Intensities are scaled so that the largest is 100.

Structural model:
```
data_V6O13
_chemical_formula_sum 'V12 O26'
_symmetry_space_group_name_H-M 'P 1 21/c 1'
_symmetry_Int_Tables_number 14
_cell_length_a 10.263
_cell_length_b 3.759
_cell_length_c 12.158
_cell_angle_alpha 90.00
_cell_angle_beta 100.80
_cell_angle_gamma 90.00
loop_
_symmetry_equiv_pos_as_xyz
'x,y,z'
'-x,-y,-z'
'-x,y+1/2,-z+1/2'
'x,-y+1/2,z+1/2'
loop_
_atom_site_label
_atom_site_type_symbol
_atom_site_fract_x
_atom_site_fract_y
_atom_site_fract_z
V1 V 0.004 0.037 0.148
V2 V 0.364 0.508 0.414
V3 V 0.367 0.008 0.215
O1 O 0.000 0.000 0.000
O2 O 0.000 0.015 0.316
O3 O 0.198 0.514 0.388
O4 O 0.199 0.017 0.176
O5 O 0.385 0.008 0.381
O6 O 0.410 0.001 0.061
O7 O 0.411 0.508 0.254
```

The 10 most intense peaks (2θ = 5–70°), low angle first:
hkl 0 0 2, 14.8°, rel. 38; hkl 2 0 0, 17.6°, rel. 28; hkl 0 1 1, 24.8°, rel. 100; hkl 3 0 0, 26.5°, rel. 72; hkl 1 0 -4, 29.6°, rel. 37; hkl 1 1 -3, 32.8°, rel. 41; hkl 1 0 -6, 44.7°, rel. 31; hkl 5 0 0, 45.0°, rel. 29; hkl 0 2 0, 48.4°, rel. 35; hkl 1 1 -7, 58.6°, rel. 23

=====

# 6
# V2O5
Theoretical XRD peak list, Cu Kα X-rays. Input: a crystal structure in Alexandria, relaxed with GGA+U.
Intensities are scaled so that the largest is 100.

Structural model:
```
data_V2O5
_chemical_formula_sum 'V4 O10'
_symmetry_space_group_name_H-M 'P m m n'
_symmetry_Int_Tables_number 59
_cell_length_a 3.626
_cell_length_b 11.572
_cell_length_c 4.695
_cell_angle_alpha 90.00
_cell_angle_beta 90.00
_cell_angle_gamma 90.00
loop_
_symmetry_equiv_pos_as_xyz
'x,y,z'
'-x,-y,-z'
'-x+1/2,-y+1/2,z'
'x+1/2,y+1/2,-z'
'x+1/2,-y,-z'
'-x+1/2,y,z'
'-x,y+1/2,-z'
'x,-y+1/2,z'
loop_
_atom_site_label
_atom_site_type_symbol
_atom_site_fract_x
_atom_site_fract_y
_atom_site_fract_z
V1 V 0.250 0.101 0.110
O1 O 0.250 0.105 0.452
O2 O 0.250 0.250 0.997
O3 O 0.250 0.568 0.992
```

The 10 most intense peaks (2θ = 5–70°), low angle first:
hkl 0 2 0, 15.3°, rel. 34; hkl 0 0 1, 18.9°, rel. 100; hkl 0 1 1, 20.4°, rel. 35; hkl 1 1 0, 25.7°, rel. 68; hkl 0 3 1, 30.0°, rel. 33; hkl 0 4 0, 30.9°, rel. 30; hkl 1 0 1, 31.2°, rel. 30; hkl 1 3 0, 33.9°, rel. 27; hkl 0 6 0, 47.1°, rel. 17; hkl 2 0 0, 50.3°, rel. 21

=====

# 7
# V2O5
Theoretical XRD peak list, Cu Kα X-rays. Input: a crystal structure in Alexandria, relaxed with GGA+U.
Intensities are scaled so that the largest is 100.

Structural model:
```
data_V2O5
_chemical_formula_sum 'V8 O20'
_symmetry_space_group_name_H-M 'P n m a'
_symmetry_Int_Tables_number 62
_cell_length_a 8.322
_cell_length_b 6.574
_cell_length_c 7.725
_cell_angle_alpha 90.00
_cell_angle_beta 90.00
_cell_angle_gamma 90.00
loop_
_symmetry_equiv_pos_as_xyz
'x,y,z'
'-x,-y,-z'
'-x+1/2,-y,z+1/2'
'x+1/2,y,-z+1/2'
'x+1/2,-y+1/2,-z+1/2'
'-x+1/2,y+1/2,z+1/2'
'-x,y+1/2,-z'
'x,-y+1/2,z'
loop_
_atom_site_label
_atom_site_type_symbol
_atom_site_fract_x
_atom_site_fract_y
_atom_site_fract_z
V1 V 0.122 0.250 0.109
V2 V 0.180 0.750 0.223
O1 O 0.052 0.750 0.012
O2 O 0.131 0.031 0.237
O3 O 0.140 0.250 0.648
O4 O 0.218 0.750 0.463
```

The 10 most intense peaks (2θ = 5–70°), low angle first:
hkl 1 0 1, 15.7°, rel. 54; hkl 0 1 1, 17.7°, rel. 23; hkl 1 1 1, 20.7°, rel. 18; hkl 2 0 1, 24.3°, rel. 100; hkl 1 0 2, 25.4°, rel. 39; hkl 0 2 0, 27.1°, rel. 62; hkl 2 1 1, 27.9°, rel. 22; hkl 1 1 2, 28.9°, rel. 22; hkl 0 1 3, 37.5°, rel. 32; hkl 2 1 4, 54.2°, rel. 19

=====

# 8
# V2O5
Theoretical XRD peak list, Cu Kα X-rays. Input: a crystal structure in Alexandria, relaxed with GGA+U.
Intensities are scaled so that the largest is 100.

Structural model:
```
data_V2O5
_chemical_formula_sum 'V8 O20'
_symmetry_space_group_name_H-M 'P 1 21/c 1'
_symmetry_Int_Tables_number 14
_cell_length_a 10.171
_cell_length_b 5.670
_cell_length_c 9.082
_cell_angle_alpha 90.00
_cell_angle_beta 110.75
_cell_angle_gamma 90.00
loop_
_symmetry_equiv_pos_as_xyz
'x,y,z'
'-x,-y,-z'
'-x,y+1/2,-z+1/2'
'x,-y+1/2,z+1/2'
loop_
_atom_site_label
_atom_site_type_symbol
_atom_site_fract_x
_atom_site_fract_y
_atom_site_fract_z
V1 V 0.105 0.006 0.319
V2 V 0.395 0.507 0.683
O1 O 0.021 0.209 0.790
O2 O 0.159 0.558 0.005
O3 O 0.251 0.502 0.753
O4 O 0.338 0.059 0.998
O5 O 0.479 0.708 0.209
```

The 10 most intense peaks (2θ = 5–70°), low angle first:
hkl 1 1 -1, 19.3°, rel. 4; hkl 0 0 2, 20.9°, rel. 18; hkl 2 0 -2, 22.6°, rel. 100; hkl 3 1 -1, 30.7°, rel. 26; hkl 0 2 0, 31.6°, rel. 12; hkl 1 1 3, 39.6°, rel. 8; hkl 4 0 -4, 46.2°, rel. 6; hkl 5 1 -3, 50.0°, rel. 12; hkl 1 3 1, 51.2°, rel. 6; hkl 6 2 -2, 64.0°, rel. 5

=====

# 9
# V2O5
Theoretical XRD peak list, Cu Kα X-rays. Input: a crystal structure in Alexandria, relaxed with GGA+U.
Intensities are scaled so that the largest is 100.

Structural model:
```
data_V2O5
_chemical_formula_sum 'V4 O10'
_symmetry_space_group_name_H-M 'P m m n'
_symmetry_Int_Tables_number 59
_cell_length_a 2.895
_cell_length_b 10.790
_cell_length_c 6.540
_cell_angle_alpha 90.00
_cell_angle_beta 90.00
_cell_angle_gamma 90.00
loop_
_symmetry_equiv_pos_as_xyz
'x,y,z'
'-x,-y,-z'
'-x+1/2,-y+1/2,z'
'x+1/2,y+1/2,-z'
'x+1/2,-y,-z'
'-x+1/2,y,z'
'-x,y+1/2,-z'
'x,-y+1/2,z'
loop_
_atom_site_label
_atom_site_type_symbol
_atom_site_fract_x
_atom_site_fract_y
_atom_site_fract_z
V1 V 0.250 0.082 0.156
O1 O 0.250 0.250 0.150
O2 O 0.250 0.563 0.678
O3 O 0.250 0.585 0.063
```

The 10 most intense peaks (2θ = 5–70°), low angle first:
hkl 0 0 1, 13.5°, rel. 100; hkl 0 1 1, 15.8°, rel. 74; hkl 0 2 0, 16.4°, rel. 52; hkl 0 3 1, 28.3°, rel. 33; hkl 1 0 1, 33.9°, rel. 18; hkl 1 0 2, 41.7°, rel. 37; hkl 1 2 2, 45.1°, rel. 9; hkl 0 6 0, 50.8°, rel. 12; hkl 1 3 3, 58.9°, rel. 14; hkl 1 6 2, 67.7°, rel. 12